1.
Structure and computed powder diffractogram of Tb4Pr3Nd (a cell relaxed with GGA-PBE; copper Kα).

Largest 6 diffraction maxima, sorted by position, 10 to 90 degrees two-theta:
2θ/deg, Rel. int., h k l
28.03, 16, 0 2 1
30.48, 25, 4 0 0
32.02, 100, 2 2 1
41.91, 16, 4 0 2
55.15, 21, 6 2 1
59.45, 15, 4 2 3

Cell and atoms:
```
data_Tb4Pr3Nd
_space_group_name_H-M_alt 'P m n 21'
_space_group_IT_number 31
_cell_length_a 11.7299
_cell_length_b 7.3615
_cell_length_c 6.3449
_cell_angle_alpha 90.00
_cell_angle_beta 90.00
_cell_angle_gamma 90.00
loop_
_space_group_symop_operation_xyz
'x,y,z'
'-x+1/2,-y,z+1/2'
'-x,y,z'
'x+1/2,-y,z+1/2'
loop_
_atom_site_label
_atom_site_type_symbol
_atom_site_fract_x
_atom_site_fract_y
_atom_site_fract_z
Tb1 Tb 0.0000 0.1210 0.0000
Tb2 Tb 0.0000 0.8782 0.5008
Tb3 Tb 0.2501 0.1213 0.3328
Pr1 Pr 0.0000 0.3723 0.4979
Pr2 Pr 0.2495 0.3722 0.8349
Nd1 Nd 0.0000 0.6287 0.9991
```

=====

2.
Structure and computed powder diffractogram of Tb9PrNd2 (a cell relaxed with GGA-PBE; copper Kα).

Largest 6 diffraction maxima, sorted by position, 10 to 90 degrees two-theta:
2θ/deg, Rel. int., h k l
30.48, 100, 1 1 3
35.33, 51, 2 0 0
50.83, 36, 2 2 0
60.43, 43, 3 1 3
82.82, 18, 3 3 3
85.47, 17, 4 2 0

Cell and atoms:
```
data_Tb9PrNd2
_space_group_name_H-M_alt 'P 4/m m m'
_space_group_IT_number 123
_space_group_name_Hall '-P 4 2'
_cell_length_a 5.0793
_cell_length_b 5.0793
_cell_length_c 15.2480
_cell_angle_alpha 90.00
_cell_angle_beta 90.00
_cell_angle_gamma 90.00
loop_
_atom_site_label
_atom_site_type_symbol
_atom_site_fract_x
_atom_site_fract_y
_atom_site_fract_z
Tb1 Tb 0.0000 0.0000 0.0000
Tb2 Tb 0.0000 0.0000 0.3337
Tb3 Tb 0.0000 0.5000 0.1673
Tb4 Tb 0.0000 0.5000 0.5000
Pr1 Pr 0.5000 0.5000 0.0000
Nd1 Nd 0.5000 0.5000 0.3336
```